# Pm4Tm3Th
Simulated X-ray diffraction stick pattern, Cu Kα, 1.54184 Å. Input: the GGA-PBE geometry in Alexandria.

The 6 most intense peaks (15° ≤ 2θ ≤ 90°), low angle first:
- hkl 0 2 1, 2θ = 28.3°, intensity 23
- hkl 4 0 0, 2θ = 31.2°, intensity 37
- hkl 2 2 1, 2θ = 32.4°, intensity 100
- hkl 2 0 2, 2θ = 32.6°, intensity 48
- hkl 6 2 1, 2θ = 56.2°, intensity 21
- hkl 4 2 3, 2θ = 60.4°, intensity 22

Structural model:
a = 11.484 Å, b = 7.307 Å, c = 6.262 Å
α = 90.00°, β = 90.00°, γ = 90.00°
Space group Pmn2_1 (No. 31)
Symmetry-distinct sites (fractional):
Pm: 0.000 0.134 0.000 x2
Pm: 0.000 0.864 0.507 x2
Pm: 0.250 0.129 0.351 x4
Tm: 0.000 0.381 0.508 x2
Tm: 0.250 0.384 0.835 x4
Th: 0.000 0.620 0.007 x2